Diffraction record for CdAuO3. The powder diffraction line list is simulated, not measured: it uses the PBE geometry in Alexandria and a wavelength of 1.5418 Å.
Peak positions follow from Bragg's law for the DFT cell and can differ from measured ones.

The 10 most intense peaks (2θ = 5–70°), in order of falling intensity:
| Position (°2θ) | d (Å) | intensity |
| --- | --- | --- |
| 32.2 | 2.780 | 100.0 |
| 31.9 | 2.802 | 94.2 |
| 29.4 | 3.041 | 75.7 |
| 29.8 | 3.003 | 59.6 |
| 42.3 | 2.137 | 44.7 |
| 14.0 | 6.314 | 28.1 |
| 54.6 | 1.682 | 26.9 |
| 53.9 | 1.701 | 22.4 |
| 60.6 | 1.528 | 20.4 |
| 49.5 | 1.842 | 17.8 |

Cell and atoms:
```
data_CdAuO3
_space_group_name_H-M_alt 'P 1'
_space_group_IT_number 1
_cell_length_a 6.321
_cell_length_b 6.086
_cell_length_c 7.010
_cell_angle_alpha 90.00
_cell_angle_beta 92.69
_cell_angle_gamma 90.00
loop_
_space_group_symop_operation_xyz
'x,y,z'
loop_
_atom_site_label
_atom_site_fract_x
_atom_site_fract_y
_atom_site_fract_z
Cd1 0.102 0.197 0.168
Cd2 0.102 0.303 0.668
Cd3 0.898 0.697 0.332
Cd4 0.898 0.803 0.832
Au1 0.411 0.735 0.081
Au2 0.411 0.765 0.581
Au3 0.589 0.235 0.419
Au4 0.589 0.265 0.919
O1 0.107 0.668 0.613
O2 0.107 0.832 0.113
O3 0.296 0.110 0.462
O4 0.296 0.390 0.962
O5 0.413 0.574 0.338
O6 0.413 0.926 0.838
O7 0.587 0.074 0.162
O8 0.587 0.426 0.662
O9 0.704 0.610 0.038
O10 0.704 0.890 0.538
O11 0.893 0.168 0.887
O12 0.893 0.332 0.387
```

***

Diffraction record for Ba4Cu3PbO9. The powder diffraction line list is simulated, not measured: it uses the PBE geometry in Alexandria and a wavelength of 1.5418 Å.
Peak positions follow from Bragg's law for the DFT cell and can differ from measured ones.

The 10 most intense peaks (2θ = 5–70°), in order of falling intensity:
| Position (°2θ) | d (Å) | intensity |
| --- | --- | --- |
| 30.9 | 2.896 | 100.0 |
| 54.9 | 1.672 | 39.1 |
| 44.2 | 2.048 | 26.8 |
| 64.3 | 1.448 | 16.5 |
| 15.3 | 5.793 | 13.1 |
| 34.6 | 2.590 | 4.8 |
| 26.7 | 3.344 | 4.2 |
| 41.2 | 2.189 | 3.9 |
| 38.1 | 2.365 | 3.1 |
| 57.4 | 1.607 | 3.0 |

Cell and atoms:
```
data_Ba4Cu3PbO9
_space_group_name_H-M_alt 'P 1'
_space_group_IT_number 1
_cell_length_a 8.192
_cell_length_b 8.192
_cell_length_c 8.192
_cell_angle_alpha 90.00
_cell_angle_beta 90.00
_cell_angle_gamma 90.00
loop_
_space_group_symop_operation_xyz
'x,y,z'
loop_
_atom_site_label
_atom_site_fract_x
_atom_site_fract_y
_atom_site_fract_z
Ba1 0.250 0.250 0.250
Ba2 0.250 0.250 0.750
Ba3 0.250 0.750 0.250
Ba4 0.250 0.750 0.750
Ba5 0.750 0.250 0.250
Ba6 0.750 0.250 0.750
Ba7 0.750 0.750 0.250
Ba8 0.750 0.750 0.750
Cu1 0.000 0.000 0.500
Cu2 0.000 0.500 0.000
Cu3 0.000 0.500 0.500
Cu4 0.500 0.000 0.000
Cu5 0.500 0.000 0.500
Cu6 0.500 0.500 0.000
Pb1 0.000 0.000 0.000
Pb2 0.500 0.500 0.500
O1 0.000 0.000 0.272
O2 0.000 0.000 0.728
O3 0.000 0.250 0.500
O4 0.000 0.272 0.000
O5 0.000 0.728 0.000
O6 0.000 0.750 0.500
O7 0.228 0.500 0.500
O8 0.250 0.500 0.000
O9 0.272 0.000 0.000
O10 0.500 0.000 0.250
O11 0.500 0.000 0.750
O12 0.500 0.228 0.500
O13 0.500 0.500 0.228
O14 0.500 0.500 0.772
O15 0.500 0.772 0.500
O16 0.728 0.000 0.000
O17 0.750 0.500 0.000
O18 0.772 0.500 0.500
```

***

Diffraction record for Ba2AgSbF. The powder diffraction line list is simulated, not measured: it uses the PBE geometry in Alexandria and a wavelength of 1.5418 Å.
Peak positions follow from Bragg's law for the DFT cell and can differ from measured ones.

The 10 most intense peaks (2θ = 5–70°), in order of falling intensity:
| Position (°2θ) | d (Å) | intensity |
| --- | --- | --- |
| 26.4 | 3.379 | 100.0 |
| 26.9 | 3.317 | 54.1 |
| 23.4 | 3.807 | 45.8 |
| 37.7 | 2.389 | 38.6 |
| 47.8 | 1.903 | 38.3 |
| 35.5 | 2.527 | 31.2 |
| 32.9 | 2.725 | 26.5 |
| 19.3 | 4.608 | 24.9 |
| 55.4 | 1.658 | 24.4 |
| 46.9 | 1.938 | 22.7 |

Cell and atoms:
```
data_Ba2AgSbF
_space_group_name_H-M_alt 'P 1'
_space_group_IT_number 1
_cell_length_a 6.757
_cell_length_b 6.757
_cell_length_c 4.608
_cell_angle_alpha 90.00
_cell_angle_beta 90.00
_cell_angle_gamma 90.00
loop_
_space_group_symop_operation_xyz
'x,y,z'
loop_
_atom_site_label
_atom_site_fract_x
_atom_site_fract_y
_atom_site_fract_z
Ba1 0.000 0.500 0.000
Ba2 0.500 0.000 0.000
Ag1 0.000 0.000 0.500
Sb1 0.500 0.500 0.000
F1 0.500 0.500 0.500
```

***

Diffraction record for PrEr2Tl4. The powder diffraction line list is simulated, not measured: it uses the PBE geometry in Alexandria and a wavelength of 1.5418 Å.
Peak positions follow from Bragg's law for the DFT cell and can differ from measured ones.

The 10 most intense peaks (2θ = 5–70°), in order of falling intensity:
| Position (°2θ) | d (Å) | intensity |
| --- | --- | --- |
| 33.6 | 2.669 | 100.0 |
| 34.1 | 2.626 | 50.9 |
| 60.8 | 1.524 | 37.1 |
| 49.1 | 1.857 | 18.6 |
| 59.7 | 1.549 | 16.2 |
| 26.7 | 3.343 | 8.4 |
| 47.4 | 1.918 | 8.0 |
| 20.5 | 4.334 | 8.0 |
| 24.0 | 3.714 | 8.0 |
| 49.8 | 1.832 | 5.5 |

Cell and atoms:
```
data_PrEr2Tl4
_space_group_name_H-M_alt 'P 1'
_space_group_IT_number 1
_cell_length_a 5.253
_cell_length_b 5.253
_cell_length_c 7.673
_cell_angle_alpha 90.00
_cell_angle_beta 90.00
_cell_angle_gamma 90.00
loop_
_space_group_symop_operation_xyz
'x,y,z'
loop_
_atom_site_label
_atom_site_fract_x
_atom_site_fract_y
_atom_site_fract_z
Pr1 0.000 0.000 0.000
Er1 0.000 0.000 0.500
Er2 0.500 0.500 0.000
Tl1 0.000 0.500 0.275
Tl2 0.000 0.500 0.725
Tl3 0.500 0.000 0.275
Tl4 0.500 0.000 0.725
```

***

Diffraction record for RbLa3Se4. The powder diffraction line list is simulated, not measured: it uses the PBE geometry in Alexandria and a wavelength of 1.5418 Å.
Peak positions follow from Bragg's law for the DFT cell and can differ from measured ones.

The 10 most intense peaks (2θ = 5–70°), in order of falling intensity:
| Position (°2θ) | d (Å) | intensity |
| --- | --- | --- |
| 29.5 | 3.027 | 100.0 |
| 41.2 | 2.193 | 71.6 |
| 27.8 | 3.212 | 64.6 |
| 5.9 | 15.029 | 42.0 |
| 40.7 | 2.218 | 38.6 |
| 43.3 | 2.091 | 26.5 |
| 31.4 | 2.845 | 22.1 |
| 51.4 | 1.776 | 20.8 |
| 67.9 | 1.380 | 18.1 |
| 25.1 | 3.552 | 17.2 |

Cell and atoms:
```
data_RbLa3Se4
_space_group_name_H-M_alt 'P 1'
_space_group_IT_number 1
_cell_length_a 4.387
_cell_length_b 4.387
_cell_length_c 30.059
_cell_angle_alpha 90.00
_cell_angle_beta 90.00
_cell_angle_gamma 120.00
loop_
_space_group_symop_operation_xyz
'x,y,z'
loop_
_atom_site_label
_atom_site_fract_x
_atom_site_fract_y
_atom_site_fract_z
Rb1 0.333 0.667 0.250
Rb2 0.667 0.333 0.750
La1 0.000 0.000 0.000
La2 0.000 0.000 0.500
La3 0.333 0.667 0.616
La4 0.333 0.667 0.884
La5 0.667 0.333 0.116
La6 0.667 0.333 0.384
Se1 0.000 0.000 0.170
Se2 0.000 0.000 0.330
Se3 0.000 0.000 0.670
Se4 0.000 0.000 0.830
Se5 0.333 0.667 0.058
Se6 0.333 0.667 0.442
Se7 0.667 0.333 0.558
Se8 0.667 0.333 0.942
```

***

Diffraction record for Cs2RbBaBr5. The powder diffraction line list is simulated, not measured: it uses the PBE geometry in Alexandria and a wavelength of 1.5418 Å.
Peak positions follow from Bragg's law for the DFT cell and can differ from measured ones.

The 10 most intense peaks (2θ = 5–70°), in order of falling intensity:
| Position (°2θ) | d (Å) | intensity |
| --- | --- | --- |
| 29.0 | 3.084 | 100.0 |
| 20.4 | 4.353 | 78.0 |
| 41.5 | 2.176 | 52.3 |
| 29.0 | 3.074 | 50.4 |
| 29.6 | 3.018 | 40.7 |
| 11.5 | 7.687 | 39.8 |
| 25.9 | 3.435 | 37.6 |
| 52.2 | 1.751 | 29.4 |
| 27.1 | 3.294 | 23.0 |
| 36.3 | 2.476 | 17.5 |

Cell and atoms:
```
data_Cs2RbBaBr5
_space_group_name_H-M_alt 'P 1'
_space_group_IT_number 1
_cell_length_a 10.360
_cell_length_b 10.360
_cell_length_c 10.360
_cell_angle_alpha 145.48
_cell_angle_beta 131.47
_cell_angle_gamma 60.92
loop_
_space_group_symop_operation_xyz
'x,y,z'
loop_
_atom_site_label
_atom_site_fract_x
_atom_site_fract_y
_atom_site_fract_z
Cs1 0.206 0.206 0.000
Cs2 0.794 0.794 0.000
Rb1 0.500 0.000 0.500
Ba1 0.000 0.500 0.500
Br1 0.000 0.000 0.000
Br2 0.125 0.369 0.756
Br3 0.387 0.631 0.756
Br4 0.613 0.369 0.244
Br5 0.875 0.631 0.244
```

***

Diffraction record for Ac3La2Se8. The powder diffraction line list is simulated, not measured: it uses the PBE geometry in Alexandria and a wavelength of 1.5418 Å.
Peak positions follow from Bragg's law for the DFT cell and can differ from measured ones.

The 10 most intense peaks (2θ = 5–70°), in order of falling intensity:
| Position (°2θ) | d (Å) | intensity |
| --- | --- | --- |
| 34.1 | 2.632 | 100.0 |
| 35.3 | 2.544 | 24.9 |
| 33.2 | 2.695 | 22.7 |
| 62.5 | 1.485 | 18.1 |
| 21.1 | 4.208 | 17.9 |
| 11.8 | 7.489 | 17.3 |
| 20.3 | 4.375 | 15.7 |
| 20.2 | 4.398 | 15.0 |
| 49.3 | 1.850 | 15.0 |
| 30.7 | 2.917 | 12.3 |

Cell and atoms:
```
data_Ac3La2Se8
_space_group_name_H-M_alt 'P 1'
_space_group_IT_number 1
_cell_length_a 9.227
_cell_length_b 9.227
_cell_length_c 5.088
_cell_angle_alpha 90.00
_cell_angle_beta 90.00
_cell_angle_gamma 108.51
loop_
_space_group_symop_operation_xyz
'x,y,z'
loop_
_atom_site_label
_atom_site_fract_x
_atom_site_fract_y
_atom_site_fract_z
Ac1 0.000 0.000 0.000
Ac2 0.286 0.286 0.500
Ac3 0.714 0.714 0.500
La1 0.265 0.735 0.000
La2 0.735 0.265 0.000
Se1 0.109 0.365 0.000
Se2 0.123 0.877 0.500
Se3 0.365 0.109 0.000
Se4 0.368 0.632 0.500
Se5 0.632 0.368 0.500
Se6 0.635 0.891 0.000
Se7 0.877 0.123 0.500
Se8 0.891 0.635 0.000
```

***

Diffraction record for Al2Zn3. The powder diffraction line list is simulated, not measured: it uses the PBE geometry in Alexandria and a wavelength of 1.5418 Å.
Peak positions follow from Bragg's law for the DFT cell and can differ from measured ones.

The 10 most intense peaks (2θ = 5–70°), in order of falling intensity:
| Position (°2θ) | d (Å) | intensity |
| --- | --- | --- |
| 37.2 | 2.415 | 100.0 |
| 44.1 | 2.055 | 61.5 |
| 46.3 | 1.961 | 52.8 |
| 37.9 | 2.376 | 47.8 |
| 22.2 | 4.008 | 29.8 |
| 61.3 | 1.512 | 21.9 |
| 65.6 | 1.423 | 17.4 |
| 28.2 | 3.168 | 12.4 |
| 41.4 | 2.180 | 6.0 |
| 39.1 | 2.305 | 5.3 |

Cell and atoms:
```
data_Al2Zn3
_space_group_name_H-M_alt 'P 1'
_space_group_IT_number 1
_cell_length_a 7.800
_cell_length_b 5.270
_cell_length_c 8.844
_cell_angle_alpha 61.03
_cell_angle_beta 36.23
_cell_angle_gamma 82.74
loop_
_space_group_symop_operation_xyz
'x,y,z'
loop_
_atom_site_label
_atom_site_fract_x
_atom_site_fract_y
_atom_site_fract_z
Al1 0.053 0.447 0.054
Al2 0.196 0.804 0.197
Al3 0.447 0.053 0.446
Al4 0.804 0.196 0.803
Zn1 0.001 0.001 0.999
Zn2 0.251 0.251 0.249
Zn3 0.403 0.598 0.401
Zn4 0.598 0.403 0.598
Zn5 0.652 0.849 0.652
Zn6 0.849 0.652 0.847
```